[1]
This entry pairs a crystal structure of HfS2 with its theoretical powder diffractogram. Radiation: Cu Ka. Structure: the GGA-PBE geometry in the Materials Project.

The 8 most intense peaks (10° ≤ 2θ ≤ 90°), sorted by position:
hkl  Position (°2θ)  I_rel
0 0 1  13.45  100.0
1 0 0  28.28  29.2
0 1 1  31.44  71.3
0 1 2  39.56  51.5
1 1 0  50.07  17.3
1 0 3  50.66  23.2
1 1 1  52.09  19.3
2 0 2  65.62  11.5

Cell and atoms:
abc: 3.6434 3.6434 6.5845
angles: 90.00 90.00 120.00
Space group P-3m1 (No. 164)
Asymmetric unit:
Hf 0.0000 0.0000 0.0000 [1 per cell]
S 0.3333 0.6667 0.2194 [2 per cell]


[2]
This entry pairs a crystal structure of HfSeS with its theoretical powder diffractogram. Radiation: Cu Ka. Structure: the GGA-PBE geometry in the Materials Project.

The 8 most intense peaks (10° ≤ 2θ ≤ 90°), sorted by position:
hkl  Position (°2θ)  I_rel
0 0 1  13.54  100.0
1 0 0  27.74  24.1
0 1 1  30.99  92.5
0 1 2  39.29  68.0
1 1 0  49.06  26.8
1 0 3  50.57  26.3
1 1 1  51.14  21.1
2 0 2  64.58  15.7

Cell and atoms:
abc: 3.7135 3.7135 6.5418
angles: 90.00 90.00 120.00
Space group P3m1 (No. 156)
Asymmetric unit:
Hf 0.0000 0.0000 0.0000 [1 per cell]
Se 0.6667 0.3333 0.7512 [1 per cell]
S 0.3333 0.6667 0.2122 [1 per cell]


[3]
This entry pairs a crystal structure of HfSiS with its theoretical powder diffractogram. Radiation: Cu Ka. Structure: the GGA-PBE geometry in the Materials Project.

The 8 most intense peaks (10° ≤ 2θ ≤ 90°), sorted by position:
hkl  Position (°2θ)  I_rel
0 0 2  22.10  36.4
1 0 1  27.58  100.0
1 1 0  35.96  35.7
1 0 3  42.32  50.6
1 1 2  42.61  53.9
2 0 0  51.76  21.6
2 1 1  59.65  24.5
2 1 3  69.01  23.7

Cell and atoms:
abc: 3.5321 3.5321 8.0433
angles: 90.00 90.00 90.00
Space group P4/nmm (No. 129, origin choice 2)
Asymmetric unit:
Hf 0.2500 0.2500 0.2318 [2 per cell]
Si 0.2500 0.7500 0.5000 [2 per cell]
S 0.2500 0.2500 0.8792 [2 per cell]


Which formula does entry 2 have?
HfSeS


Number 3 is which compound?
HfSiS